Theoretical powder X-ray diffraction pattern of PmNd4Th3S8 for CuKα, from DFT lattice parameters and positions (GGA-PBE).
Intensities are scaled so that the largest is 100.

Cell and atoms:
```
data_PmNd4Th3S8
_cell_length_a 8.0783
_cell_length_b 8.0783
_cell_length_c 19.9805
_cell_angle_alpha 90.00
_cell_angle_beta 90.00
_cell_angle_gamma 120.00
_space_group_name_H-M_alt 'R -3 m'
_space_group_IT_number 166
_space_group_name_Hall '-R 3 2"'
loop_
_atom_site_label
_atom_site_fract_x
_atom_site_fract_y
_atom_site_fract_z
Pm1 0.0000 0.0000 0.0000
Nd1 0.0000 0.0000 0.5000
Nd2 0.0000 0.5000 0.5000
Th1 0.0000 0.5000 0.0000
S1 0.0000 0.0000 0.2500
S2 0.0007 0.5004 0.7494
```

Principal peaks in the range 15 to 90 degrees two-theta, in order of falling intensity:
2θ (°)  d (Å)  intensity  hkl
31.2  2.865  100  0 2 4
27.0  3.301  65  2 0 2
44.6  2.033  37  2 0 8
44.9  2.020  36  2 2 0
26.8  3.330  22  0 0 6
53.0  1.727  22  2 2 6
55.7  1.651  19  4 0 4
73.7  1.285  17  2 2 12
74.2  1.278  16  2 4 4
82.6  1.169  13  4 2 8
65.1  1.433  12  0 4 8
52.8  1.735  11  0 2 10